1.
Starting from a PBE-relaxed structure, the powder diffractogram of Tl2Cd5Hg3 was simulated for Cu Ka.

Peak list (12 most intense, 2θ from 15° to 90°, in order of rising 2θ)
3.199 Å, 27.89°, I = 72; 2.890 Å, 30.94°, I = 87; 2.860 Å, 31.28°, I = 85; 2.338 Å, 38.50°, I = 100; 2.318 Å, 38.85°, I = 18; 2.239 Å, 40.28°, I = 86; 1.842 Å, 49.47°, I = 15; 1.623 Å, 56.72°, I = 26; 1.612 Å, 57.14°, I = 26; 1.392 Å, 67.26°, I = 19; 1.382 Å, 67.83°, I = 18; 1.361 Å, 68.99°, I = 21

Atomic structure:
```
Tl2Cd5Hg3
1.0
-6.3743 6.8581 3.1461
6.3743 -6.8581 3.1461
6.3743 6.8581 -3.1461
Tl Cd Hg
4 10 6
Direct
0.2453 0.1229 0.3681
0.2547 0.6229 0.8776
0.7453 0.3771 0.1224
0.7547 0.8771 0.6319
0.1463 0.8712 0.0175
0.2500 0.0005 0.7505
0.2500 0.4995 0.2495
0.2500 0.7500 0.5000
0.3537 0.3712 0.7249
0.6463 0.6288 0.2751
0.7500 0.2500 0.5000
0.7500 0.5005 0.7505
0.7500 0.9995 0.2495
0.8537 0.1288 0.9825
0.1471 0.3751 0.5223
0.2500 0.2500 0.0000
0.3529 0.8751 0.2280
0.6471 0.1249 0.7720
0.7500 0.7500 0.0000
0.8529 0.6249 0.4777
```

2.
Starting from a PBE-relaxed structure, the powder diffractogram of Tl5CdHg3 was simulated for Cu Ka.

Peak list (12 most intense, 2θ from 15° to 90°, in order of rising 2θ)
3.307 Å, 26.96°, I = 25; 2.914 Å, 30.68°, I = 100; 2.840 Å, 31.50°, I = 44; 2.740 Å, 32.69°, I = 47; 2.540 Å, 35.33°, I = 19; 2.310 Å, 38.99°, I = 10; 2.228 Å, 40.49°, I = 11; 2.118 Å, 42.70°, I = 16; 1.948 Å, 46.62°, I = 10; 1.770 Å, 51.64°, I = 12; 1.698 Å, 54.01°, I = 14; 1.654 Å, 55.57°, I = 21

Atomic structure:
```
Tl5CdHg3
1.0
8.0331 0.0000 0.0000
0.0000 8.0331 0.0000
0.0000 0.0000 8.4706
Tl Cd Hg
10 2 6
Direct
0.0000 0.0000 0.0000
0.2112 0.2888 0.2813
0.2112 0.2888 0.7187
0.2888 0.7888 0.2813
0.2888 0.7888 0.7187
0.5000 0.5000 0.0000
0.7112 0.2112 0.2813
0.7112 0.2112 0.7187
0.7888 0.7112 0.2813
0.7888 0.7112 0.7187
0.0000 0.5000 0.5000
0.5000 0.0000 0.5000
0.0000 0.0000 0.5000
0.1238 0.6238 0.0000
0.3762 0.1238 0.0000
0.5000 0.5000 0.5000
0.6238 0.8762 0.0000
0.8762 0.3762 0.0000
```

3.
Starting from a PBE-relaxed structure, the powder diffractogram of TlCd6Hg4 was simulated for Cu Ka.

Peak list (12 most intense, 2θ from 15° to 90°, in order of rising 2θ)
3.896 Å, 22.82°, I = 22; 3.009 Å, 29.69°, I = 55; 2.945 Å, 30.35°, I = 40; 2.807 Å, 31.88°, I = 100; 2.381 Å, 37.78°, I = 53; 2.249 Å, 40.08°, I = 71; 2.186 Å, 41.30°, I = 34; 2.024 Å, 44.78°, I = 26; 1.668 Å, 55.06°, I = 15; 1.568 Å, 58.91°, I = 17; 1.504 Å, 61.65°, I = 40; 1.454 Å, 64.02°, I = 18

Atomic structure:
```
TlCd6Hg4
1.0
8.9980 0.0000 0.0000
-4.4990 7.7925 0.0000
0.0000 0.0000 4.0474
Tl Cd Hg
1 6 4
Direct
0.0000 0.0000 0.0000
0.0545 0.5272 0.0000
0.3806 0.1903 0.5000
0.4728 0.5272 0.0000
0.4728 0.9455 0.0000
0.8097 0.1903 0.5000
0.8097 0.6194 0.5000
0.1872 0.3745 0.5000
0.1872 0.8128 0.5000
0.6255 0.8128 0.5000
0.6667 0.3333 0.0000
```

4.
Starting from a PBE-relaxed structure, the powder diffractogram of Tl3Cd6Hg2 was simulated for Cu Ka.

Peak list (12 most intense, 2θ from 15° to 90°, in order of rising 2θ)
3.607 Å, 24.68°, I = 35; 3.090 Å, 28.90°, I = 39; 3.034 Å, 29.44°, I = 45; 2.673 Å, 33.53°, I = 100; 2.664 Å, 33.65°, I = 16; 2.444 Å, 36.77°, I = 44; 2.420 Å, 37.16°, I = 74; 2.185 Å, 41.32°, I = 72; 1.689 Å, 54.31°, I = 16; 1.622 Å, 56.77°, I = 44; 1.545 Å, 59.87°, I = 24; 1.337 Å, 70.41°, I = 31

Atomic structure:
```
Tl3Cd6Hg2
1.0
-2.1848 2.1848 15.9820
2.1848 -2.1848 15.9820
2.1848 2.1848 -15.9820
Tl Cd Hg
3 6 2
Direct
0.0000 0.0000 0.0000
0.1693 0.1693 0.0000
0.8307 0.8307 0.0000
0.0724 0.5724 0.5000
0.2663 0.2663 0.0000
0.4276 0.9276 0.5000
0.5724 0.0724 0.5000
0.7337 0.7337 0.0000
0.9276 0.4276 0.5000
0.3590 0.3590 0.0000
0.6410 0.6410 0.0000
```

5.
Starting from a PBE-relaxed structure, the powder diffractogram of TmCd8Hg4 was simulated for Cu Ka.

Peak list (12 most intense, 2θ from 15° to 90°, in order of rising 2θ)
3.428 Å, 25.99°, I = 12; 3.083 Å, 28.96°, I = 14; 2.804 Å, 31.91°, I = 28; 2.761 Å, 32.43°, I = 17; 2.526 Å, 35.54°, I = 100; 2.485 Å, 36.15°, I = 41; 2.328 Å, 38.68°, I = 34; 1.791 Å, 50.99°, I = 15; 1.673 Å, 54.89°, I = 12; 1.388 Å, 67.50°, I = 13; 1.379 Å, 67.97°, I = 16; 1.358 Å, 69.16°, I = 14

Atomic structure:
```
TmCd8Hg4
1.0
3.3453 0.0000 0.0000
0.0000 4.6561 0.0000
0.0000 0.0000 20.5693
Tm Cd Hg
1 8 4
Direct
0.0000 0.0000 0.0000
0.0000 0.0000 0.1524
0.0000 0.0000 0.4401
0.0000 0.5000 0.5377
0.0000 0.5000 0.8944
0.5000 0.0000 0.2962
0.5000 0.0000 0.8640
0.5000 0.5000 0.3922
0.5000 0.5000 0.6901
0.0000 0.0000 0.7429
0.0000 0.5000 0.2423
0.5000 0.0000 0.5897
0.5000 0.5000 0.0689
```

6.
Starting from a PBE-relaxed structure, the powder diffractogram of Tm4Cd3Hg8 was simulated for Cu Ka.

Peak list (12 most intense, 2θ from 15° to 90°, in order of rising 2θ)
4.107 Å, 21.64°, I = 4; 3.557 Å, 25.03°, I = 6; 3.182 Å, 28.05°, I = 2; 2.515 Å, 35.70°, I = 100; 2.145 Å, 42.13°, I = 2; 2.054 Å, 44.10°, I = 2; 1.779 Å, 51.37°, I = 18; 1.591 Å, 57.97°, I = 2; 1.452 Å, 64.13°, I = 36; 1.321 Å, 71.40°, I = 1; 1.258 Å, 75.61°, I = 11; 1.125 Å, 86.52°, I = 16

Atomic structure:
```
Tm4Cd3Hg8
1.0
7.1143 0.0000 0.0000
0.0000 7.1143 0.0000
0.0000 0.0000 7.1143
Tm Cd Hg
4 3 8
Direct
0.0000 0.0000 0.0000
0.0000 0.5000 0.5000
0.5000 0.0000 0.5000
0.5000 0.5000 0.0000
0.0000 0.0000 0.5000
0.0000 0.5000 0.0000
0.5000 0.0000 0.0000
0.2589 0.2589 0.2589
0.2589 0.2589 0.7411
0.2589 0.7411 0.2589
0.2589 0.7411 0.7411
0.7411 0.2589 0.2589
0.7411 0.2589 0.7411
0.7411 0.7411 0.2589
0.7411 0.7411 0.7411
```